Computed powder diffraction line list
Compound: CoTeIr
Radiation: Cu Ka
Structure: the PBE geometry in Alexandria

Top 6 peaks for 15 to 90 degrees two-theta, by angle:
d/Å, Position (°2θ), I/Imax
3.370, 26.45, 61
2.594, 34.58, 36
2.157, 41.87, 58
2.111, 42.84, 100
2.020, 44.87, 66
1.431, 65.21, 33

Crystal structure
```
6
Lattice="8.125 0.000 0.000 0.000 1.911 3.569 0.000 -1.911 3.569" Properties=species:S:1:pos:R:3 pbc="T T T"
Co 0.000 0.000 0.000
Co 4.062 0.000 1.821
Te 2.493 0.000 4.587
Te 5.632 0.000 4.587
Ir 1.289 0.000 2.312
Ir 6.836 0.000 2.312
```

---

Computed powder diffraction line list
Compound: Na4BeAlSi4ClO12
Radiation: Cu Ka
Structure: the PBE geometry in Alexandria

Top 6 peaks for 15 to 90 degrees two-theta, by angle:
d/Å, Position (°2θ), I/Imax
3.645, 24.42, 100
3.631, 24.52, 62
2.576, 34.83, 26
2.383, 37.75, 18
2.101, 43.05, 22
2.098, 43.11, 13

Crystal structure
```
46
Lattice="4.437 -6.336 0.000 4.437 6.336 0.000 -0.013 0.000 12.614" Properties=species:S:1:pos:R:3 pbc="T T T"
Na 4.430 5.678 6.307
Na 2.980 3.004 10.020
Na 3.311 3.371 2.057
Na 4.189 0.891 6.143
Na 4.182 -0.891 12.450
Na 2.987 -3.004 3.713
Na 3.304 -3.371 8.365
Na 4.437 -5.678 0.000
Be 1.457 1.540 7.647
Be 1.464 -1.540 1.340
Al 6.003 1.542 10.887
Al 6.010 -1.542 4.580
Si 1.521 1.651 4.539
Si 1.515 -1.651 10.846
Si 3.637 0.045 9.212
Si 3.643 -0.045 2.904
Si 5.844 1.689 1.465
Si 5.837 -1.689 7.772
Si 8.203 0.106 2.997
Si 8.196 -0.106 9.304
Cl 5.921 3.179 6.132
Cl 5.915 -3.179 12.439
O 1.141 1.354 6.058
O 4.593 5.372 2.151
O 4.636 4.939 9.864
O 1.135 -1.354 12.365
O 2.729 0.591 4.127
O 2.816 0.707 8.012
O 2.723 -0.591 10.434
O 2.822 -0.707 1.704
O 4.523 1.245 2.360
O 4.594 1.153 9.922
O 6.091 3.236 1.777
O 6.480 3.185 10.490
O 5.520 1.251 12.545
O 4.516 -1.245 8.667
O 4.601 -1.153 3.615
O 5.527 -1.251 6.238
O 7.154 0.810 1.932
O 7.415 0.538 10.579
O 7.147 -0.810 8.239
O 7.421 -0.538 4.272
O 4.643 -4.939 3.557
O 4.586 -5.372 8.458
O 6.084 -3.236 8.084
O 6.487 -3.185 4.183
```

---

Computed powder diffraction line list
Compound: Tb6NiHg3
Radiation: Cu Ka
Structure: the PBE geometry in Alexandria

Top 6 peaks for 15 to 90 degrees two-theta, by angle:
d/Å, Position (°2θ), I/Imax
2.908, 30.75, 81
2.585, 34.70, 100
2.415, 37.23, 19
1.931, 47.05, 15
1.548, 59.72, 14
1.492, 62.23, 12

Crystal structure
```
20
Lattice="8.968 0.000 0.000 0.000 11.470 0.000 0.000 0.000 5.164" Properties=species:S:1:pos:R:3 pbc="T T T"
Tb 0.090 2.703 0.000
Tb 1.402 0.926 2.582
Tb 1.667 4.763 2.582
Tb 2.817 10.499 0.000
Tb 3.082 6.661 0.000
Tb 4.394 8.438 2.582
Tb 4.574 3.032 2.582
Tb 5.886 4.809 0.000
Tb 6.151 0.972 0.000
Tb 7.301 6.707 2.582
Tb 7.567 10.545 2.582
Tb 8.879 8.768 0.000
Ni 0.000 0.000 0.000
Ni 4.484 5.735 2.582
Hg 0.000 5.735 0.000
Hg 1.391 8.343 2.582
Hg 3.093 2.607 0.000
Hg 4.484 0.000 2.582
Hg 5.875 8.863 0.000
Hg 7.577 3.128 2.582
```

---

Computed powder diffraction line list
Compound: Pm2Ho2Mg
Radiation: Cu Ka
Structure: the PBE geometry in Alexandria

Top 6 peaks for 15 to 90 degrees two-theta, by angle:
d/Å, Position (°2θ), I/Imax
2.874, 31.12, 100
2.514, 35.72, 34
2.442, 36.80, 16
1.752, 52.22, 23
1.512, 61.32, 28
1.480, 62.77, 14

Crystal structure
```
5
Lattice="-1.776 2.442 8.893 1.776 -2.442 8.893 1.776 2.442 -8.893" Properties=species:S:1:pos:R:3 pbc="T T T"
Pm 0.000 0.000 1.707
Pm 0.000 0.000 16.079
Ho 0.000 0.000 5.273
Ho 0.000 0.000 12.513
Mg 0.000 0.000 8.893
```

---

Please write out number 4 again, unchanged.
Computed powder diffraction line list
Compound: Pm2Ho2Mg
Radiation: Cu Ka
Structure: the PBE geometry in Alexandria

Top 6 peaks for 15 to 90 degrees two-theta, by angle:
d/Å, Position (°2θ), I/Imax
2.874, 31.12, 100
2.514, 35.72, 34
2.442, 36.80, 16
1.752, 52.22, 23
1.512, 61.32, 28
1.480, 62.77, 14

Crystal structure
```
5
Lattice="-1.776 2.442 8.893 1.776 -2.442 8.893 1.776 2.442 -8.893" Properties=species:S:1:pos:R:3 pbc="T T T"
Pm 0.000 0.000 1.707
Pm 0.000 0.000 16.079
Ho 0.000 0.000 5.273
Ho 0.000 0.000 12.513
Mg 0.000 0.000 8.893
```